# Na2VRhO4
Simulated X-ray powder pattern, Cu Kα (λ = 1.5418 Å). Input: a DFT-relaxed cell (PBE+U, Alexandria).
Kinematic intensities with the Lorentz-polarization factor, no thermal factor.

Atomic structure:
```
data_Na2VRhO4
_cell_length_a 5.8737
_cell_length_b 5.8737
_cell_length_c 6.1155
_cell_angle_alpha 90.00
_cell_angle_beta 90.00
_cell_angle_gamma 90.00
_symmetry_space_group_name_H-M 'I -4'
_symmetry_Int_Tables_number 82
loop_
_symmetry_equiv_pos_as_xyz
'x,y,z'
'y,-x,-z'
'-x,-y,z'
'-y,x,-z'
'x+1/2,y+1/2,z+1/2'
'y+1/2,-x+1/2,-z+1/2'
'-x+1/2,-y+1/2,z+1/2'
'-y+1/2,x+1/2,-z+1/2'
loop_
_atom_site_label
_atom_site_fract_x
_atom_site_fract_y
_atom_site_fract_z
Na1 0.0000 0.0000 0.0000
Na2 0.0000 0.5000 0.2500
V1 0.0000 0.0000 0.5000
Rh1 0.0000 0.5000 0.7500
O1 0.1464 0.8144 0.6839
```

Most intense lines, 10 to 90 degrees two-theta, in order of rising 2θ:
two_theta, I/Imax
20.97, 1000
29.21, 119
30.44, 611
36.49, 974
37.25, 351
43.58, 347
58.11, 597
58.65, 119
69.29, 146
71.88, 148

---

# Na3Rh3WO8
Simulated X-ray powder pattern, Cu Kα (λ = 1.5418 Å). Input: a DFT-relaxed cell (PBE+U, Alexandria).
Kinematic intensities with the Lorentz-polarization factor, no thermal factor.

Atomic structure:
```
data_Na3Rh3WO8
_cell_length_a 10.7390
_cell_length_b 6.3298
_cell_length_c 6.5031
_cell_angle_alpha 90.00
_cell_angle_beta 123.02
_cell_angle_gamma 90.00
_symmetry_space_group_name_H-M 'C 1 2/m 1'
_symmetry_Int_Tables_number 12
loop_
_symmetry_equiv_pos_as_xyz
'x,y,z'
'-x,-y,-z'
'-x,y,-z'
'x,-y,z'
'x+1/2,y+1/2,z'
'-x+1/2,-y+1/2,-z'
'-x+1/2,y+1/2,-z'
'x+1/2,-y+1/2,z'
loop_
_atom_site_label
_atom_site_fract_x
_atom_site_fract_y
_atom_site_fract_z
Na1 0.0000 0.0000 0.0000
Na2 0.2500 0.2500 0.0000
Rh1 0.0000 0.5000 0.5000
Rh2 0.2500 0.2500 0.5000
W1 0.0000 0.0000 0.5000
O1 0.0155 0.2499 0.3024
O2 0.2304 0.0000 0.6983
O3 0.2319 0.5000 0.6930
```

Most intense lines, 10 to 90 degrees two-theta, in order of rising 2θ:
two_theta, I/Imax
16.26, 1000
32.85, 172
33.33, 254
34.65, 268
35.25, 128
39.80, 442
40.06, 217
51.63, 170
56.14, 139
59.32, 131